Record 1
For Mn3Ga, a crystal structure in Alexandria, relaxed with GGA-PBE gives the theoretical X-ray powder pattern in this record (Cu Kα X-rays).
Peak positions follow from Bragg's law for the DFT cell and can differ from measured ones.

Principal peaks in the range 2θ from 10° to 80°, sorted by position:
- 40.04°, I = 26
- 41.63°, I = 2
- 44.70°, I = 24
- 46.11°, I = 100
- 61.55°, I = 13
- 72.74°, I = 15

Crystal structure
```
data_Mn3Ga
_chemical_formula_sum 'Mn3 Ga1'
_cell_length_a 2.6000
_cell_length_b 2.6000
_cell_length_c 8.1093
_cell_angle_alpha 90.00
_cell_angle_beta 90.00
_cell_angle_gamma 120.00
_space_group_name_H-M_alt 'P -6 m 2'
_space_group_IT_number 187
_space_group_name_Hall 'P -6 2'
loop_
_atom_site_label
_atom_site_type_symbol
_atom_site_fract_x
_atom_site_fract_y
_atom_site_fract_z
Mn1 Mn 0.0000 0.0000 0.0000
Mn2 Mn 0.6667 0.3333 0.2391
Ga1 Ga 0.0000 0.0000 0.5000
```



Record 2
For Mn4Ga, a crystal structure in Alexandria, relaxed with GGA-PBE gives the theoretical X-ray powder pattern in this record (Cu Kα X-rays).
Peak positions follow from Bragg's law for the DFT cell and can differ from measured ones.

Principal peaks in the range 2θ from 10° to 80°, sorted by position:
- 26.15°, I = 2
- 43.50°, I = 100
- 44.30°, I = 30
- 50.90°, I = 60
- 74.28°, I = 19
- 75.43°, I = 16

Crystal structure
```
data_Mn4Ga
_chemical_formula_sum 'Mn12 Ga3'
_cell_length_a 2.5538
_cell_length_b 2.5538
_cell_length_c 30.6733
_cell_angle_alpha 90.00
_cell_angle_beta 90.00
_cell_angle_gamma 120.00
_space_group_name_H-M_alt 'R -3 m'
_space_group_IT_number 166
_space_group_name_Hall '-R 3 2"'
loop_
_atom_site_label
_atom_site_type_symbol
_atom_site_fract_x
_atom_site_fract_y
_atom_site_fract_z
Mn1 Mn 0.0000 0.0000 0.0963
Mn2 Mn 0.0000 0.0000 0.2990
Ga1 Ga 0.0000 0.0000 0.5000
```



Record 3
For Mn8Ga5, a crystal structure in Alexandria, relaxed with GGA-PBE gives the theoretical X-ray powder pattern in this record (Cu Kα X-rays).
Peak positions follow from Bragg's law for the DFT cell and can differ from measured ones.

Principal peaks in the range 2θ from 10° to 80°, sorted by position:
- 24.52°, I = 4
- 43.17°, I = 100
- 50.27°, I = 4
- 62.70°, I = 9
- 73.84°, I = 5
- 79.16°, I = 19

Crystal structure
```
data_Mn8Ga5
_chemical_formula_sum 'Mn32 Ga20'
_cell_length_a 8.8912
_cell_length_b 8.8912
_cell_length_c 8.8912
_cell_angle_alpha 90.00
_cell_angle_beta 90.00
_cell_angle_gamma 90.00
_space_group_name_H-M_alt 'I -4 3 m'
_space_group_IT_number 217
_space_group_name_Hall 'I -4 2 3'
loop_
_atom_site_label
_atom_site_type_symbol
_atom_site_fract_x
_atom_site_fract_y
_atom_site_fract_z
Mn1 Mn 0.0333 0.3133 0.6867
Mn2 Mn 0.1027 0.1027 0.8973
Ga1 Ga 0.0000 0.0000 0.3550
Ga2 Ga 0.1777 0.1777 0.1777
```



Record 4
For MnGaMoP, a crystal structure in Alexandria, relaxed with GGA-PBE gives the theoretical X-ray powder pattern in this record (Cu Kα X-rays).
Peak positions follow from Bragg's law for the DFT cell and can differ from measured ones.

Principal peaks in the range 2θ from 10° to 80°, sorted by position:
- 30.49°, I = 28
- 35.20°, I = 60
- 41.43°, I = 79
- 44.26°, I = 100
- 53.41°, I = 23
- 58.75°, I = 20

Crystal structure
```
data_MnGaMoP
_chemical_formula_sum 'Mn1 Ga1 Mo1 P1'
_cell_length_a 2.8579
_cell_length_b 3.4308
_cell_length_c 5.6451
_cell_angle_alpha 90.00
_cell_angle_beta 90.00
_cell_angle_gamma 90.00
_space_group_name_H-M_alt 'P m m 2'
_space_group_IT_number 25
_space_group_name_Hall 'P 2 -2'
loop_
_atom_site_label
_atom_site_type_symbol
_atom_site_fract_x
_atom_site_fract_y
_atom_site_fract_z
Mn1 Mn 0.0000 0.0000 0.0000
Ga1 Ga 0.0000 0.5000 0.3217
Mo1 Mo 0.5000 0.0000 0.5719
P1 P 0.5000 0.5000 0.8764
```